Record 1
FeIr2: theoretical XRD peak list (a wavelength of 1.5418 Å), based on a crystal structure in Alexandria, relaxed with PBE.

Crystal structure
Lattice parameters (Å, degrees): 9.811 2.728 6.380 90.00 104.08 90.00
Space group Cm (No. 8)
Asymmetric unit:
Fe  0.000  0.000  0.000 x2
Fe  0.165  0.500  0.322 x2
Ir  0.055  0.000  0.603 x2
Ir  0.220  0.500  0.944 x2
Ir  0.334  0.000  0.663 x2
Ir  0.389  0.000  0.270 x2

Main lines, by angle (2θ = 5–70°):
- 14.3 deg, I = 9, hkl 0 0 1
- 20.6 deg, I = 19, hkl 2 0 -1
- 38.2 deg, I = 29, hkl 1 1 1
- 38.4 deg, I = 15, hkl 2 0 2
- 41.9 deg, I = 36, hkl 4 0 -2
- 43.7 deg, I = 100, hkl 3 1 0
- 43.9 deg, I = 50, hkl 4 0 1
- 57.9 deg, I = 18, hkl 3 1 -3
- 68.8 deg, I = 8, hkl 0 2 0
- 69.2 deg, I = 16, hkl 3 1 3


Record 2
K6BaNa4: theoretical XRD peak list (a wavelength of 1.5418 Å), based on a crystal structure in Alexandria, relaxed with PBE.

Crystal structure
Lattice parameters (Å, degrees): 6.149 6.149 36.354 90.00 90.00 90.00
Space group I4/mmm (No. 139)
Asymmetric unit:
K  0.000  0.500  0.112 x8
K  0.000  0.500  0.250 x4
Ba  0.000  0.000  0.000 x2
Na  0.000  0.000  0.180 x4
Na  0.000  0.000  0.457 x4

Main lines, by angle (2θ = 5–70°):
- 14.6 deg, I = 34, hkl 1 0 1
- 18.9 deg, I = 46, hkl 1 0 5
- 19.5 deg, I = 31, hkl 0 0 8
- 21.0 deg, I = 54, hkl 1 1 2
- 22.7 deg, I = 56, hkl 1 1 4
- 25.2 deg, I = 100, hkl 1 1 6
- 29.0 deg, I = 70, hkl 2 0 0
- 30.7 deg, I = 31, hkl 1 0 11
- 35.2 deg, I = 34, hkl 2 0 8
- 49.2 deg, I = 29, hkl 3 1 6


Record 3
Ta2VC3: theoretical XRD peak list (a wavelength of 1.5418 Å), based on a crystal structure in Alexandria, relaxed with PBE.

Crystal structure
Lattice parameters (Å, degrees): 5.391 9.346 5.362 90.00 109.66 90.00
Space group C2/m (No. 12)
Asymmetric unit:
Ta  0.000  0.000  0.000 x2
Ta  0.000  0.168  0.500 x4
Ta  0.000  0.500  0.500 x2
V  0.000  0.333  0.000 x4
C  0.242  0.500  0.242 x4
C  0.250  0.169  0.244 x8

Main lines, by angle (2θ = 5–70°):
- 17.6 deg, I = 20, hkl 0 0 1
- 19.9 deg, I = 7, hkl 1 1 0
- 22.4 deg, I = 6, hkl 1 1 -1
- 33.8 deg, I = 13, hkl 1 3 0
- 35.3 deg, I = 100, hkl 2 0 0
- 35.6 deg, I = 32, hkl 0 0 2
- 41.1 deg, I = 87, hkl 1 3 1
- 45.0 deg, I = 6, hkl 2 0 1
- 59.4 deg, I = 29, hkl 0 6 0
- 59.7 deg, I = 28, hkl 2 0 2


Record 4
Y10In3Bi3: theoretical XRD peak list (a wavelength of 1.5418 Å), based on a crystal structure in Alexandria, relaxed with PBE.

Crystal structure
Lattice parameters (Å, degrees): 9.0676 9.0676 6.6192 90.00 90.00 120.00
Space group P-62m (No. 189)
Asymmetric unit:
Y  0.0000  0.2364  0.0000 x3
Y  0.0000  0.7633  0.5000 x3
Y  0.3333  0.6667  0.2567 x4
In  0.0000  0.3947  0.5000 x3
Bi  0.0000  0.6040  0.0000 x3

Main lines, by angle (2θ = 5–70°):
- 23.8 deg, I = 27, hkl 1 1 1
- 26.9 deg, I = 29, hkl 0 0 2
- 30.1 deg, I = 21, hkl 2 1 0
- 33.1 deg, I = 100, hkl 2 1 1
- 33.5 deg, I = 69, hkl 1 1 2
- 34.3 deg, I = 38, hkl 3 0 0
- 35.5 deg, I = 16, hkl 2 0 2
- 43.8 deg, I = 26, hkl 3 1 1
- 51.6 deg, I = 28, hkl 2 1 3
- 65.8 deg, I = 23, hkl 5 0 2


Record 5
SmMn6Ge6: theoretical XRD peak list (a wavelength of 1.5418 Å), based on a crystal structure in Alexandria, relaxed with PBE.

Crystal structure
Lattice parameters (Å, degrees): 5.1930 5.1930 8.1963 90.00 90.00 120.00
Space group P6/mmm (No. 191)
Asymmetric unit:
Sm  0.0000  0.0000  0.0000 x1
Mn  0.0000  0.5000  0.2518 x6
Ge  0.0000  0.0000  0.3461 x2
Ge  0.3333  0.6667  0.0000 x2
Ge  0.3333  0.6667  0.5000 x2

Main lines, by angle (2θ = 5–70°):
- 34.5 deg, I = 75, hkl 1 1 0
- 38.6 deg, I = 40, hkl 1 0 3
- 40.1 deg, I = 49, hkl 2 0 0
- 41.2 deg, I = 100, hkl 1 1 2
- 44.2 deg, I = 23, hkl 0 0 4
- 46.0 deg, I = 41, hkl 2 0 2
- 48.4 deg, I = 21, hkl 1 1 3
- 52.7 deg, I = 18, hkl 2 0 3
- 64.6 deg, I = 17, hkl 2 1 3
- 66.4 deg, I = 23, hkl 3 0 2


Record 6
Li2Nd2Si4Pt: theoretical XRD peak list (a wavelength of 1.5418 Å), based on a crystal structure in Alexandria, relaxed with PBE.

Crystal structure
Lattice parameters (Å, degrees): 5.996 5.996 8.944 90.00 90.00 90.00
Space group I4/mmm (No. 139)
Asymmetric unit:
Li  0.000  0.000  0.214 x4
Nd  0.000  0.500  0.250 x4
Si  0.209  0.209  0.000 x8
Pt  0.000  0.000  0.500 x2

Main lines, by angle (2θ = 5–70°):
- 17.8 deg, I = 34, hkl 1 0 1
- 29.0 deg, I = 100, hkl 1 1 2
- 29.8 deg, I = 31, hkl 2 0 0
- 34.9 deg, I = 25, hkl 2 1 1
- 40.3 deg, I = 16, hkl 0 0 4
- 42.6 deg, I = 26, hkl 2 2 0
- 45.5 deg, I = 13, hkl 2 1 3
- 50.9 deg, I = 14, hkl 2 0 4
- 52.4 deg, I = 35, hkl 3 1 2
- 60.1 deg, I = 18, hkl 2 2 4


Record 7
HoZn2GaNi4: theoretical XRD peak list (a wavelength of 1.5418 Å), based on a crystal structure in Alexandria, relaxed with PBE.

Crystal structure
Lattice parameters (Å, degrees): 4.1929 4.1929 22.1774 90.00 90.00 120.00
Space group R-3m (No. 166, hexagonal axes)
Asymmetric unit:
Ho  0.0000  0.0000  0.0000 x3
Zn  0.0000  0.0000  0.2464 x6
Ga  0.0000  0.0000  0.5000 x3
Ni  0.0000  0.0000  0.1292 x6
Ni  0.0000  0.0000  0.3949 x6

Main lines, by angle (2θ = 5–70°):
- 24.8 deg, I = 7, hkl 1 0 1
- 25.8 deg, I = 14, hkl 0 1 2
- 29.4 deg, I = 12, hkl 1 0 4
- 31.8 deg, I = 14, hkl 0 1 5
- 37.7 deg, I = 12, hkl 1 0 7
- 41.0 deg, I = 94, hkl 0 1 8
- 43.2 deg, I = 100, hkl 1 1 0
- 48.1 deg, I = 6, hkl 1 0 10
- 61.0 deg, I = 28, hkl 2 0 8
- 67.6 deg, I = 8, hkl 1 1 12


Record 8
HoTm2Sc3Te6: theoretical XRD peak list (a wavelength of 1.5418 Å), based on a crystal structure in Alexandria, relaxed with PBE.

Crystal structure
Lattice parameters (Å, degrees): 18.483 4.235 8.503 90.00 103.26 90.00
Space group C2/m (No. 12)
Asymmetric unit:
Ho  0.000  0.000  0.000 x2
Tm  0.165  0.500  0.332 x4
Sc  0.000  0.000  0.500 x2
Sc  0.165  0.500  0.834 x4
Te  0.002  0.500  0.742 x4
Te  0.165  0.000  0.589 x4
Te  0.170  0.000  0.079 x4

Main lines, by angle (2θ = 5–70°):
- 12.8 deg, I = 12, hkl 2 0 -1
- 24.6 deg, I = 12, hkl 4 0 1
- 29.8 deg, I = 100, hkl 6 0 0
- 32.6 deg, I = 6, hkl 5 1 -1
- 39.0 deg, I = 4, hkl 6 0 -3
- 42.6 deg, I = 37, hkl 5 1 2
- 42.7 deg, I = 37, hkl 0 2 0
- 52.8 deg, I = 13, hkl 4 0 4
- 52.9 deg, I = 13, hkl 6 2 0
- 61.9 deg, I = 12, hkl 2 2 -4